No. 1
Calculated powder diffractogram
Compound: ZnP2H8O10
Radiation: copper Kα
Structure: a crystal structure in the Materials Project, relaxed with GGA-PBE
Peak positions follow from Bragg's law for the DFT cell and can differ from measured ones.

Atomic structure:
```
42
Lattice="5.4152 0.0000 0.0000 0.0000 9.9609 0.0000 -4.7831 0.0000 7.2948" Properties=species:S:1:pos:R:3 pbc="T T T"
Zn 0.0000 0.0000 0.0000
Zn -2.3916 4.9804 3.6474
P -1.1095 2.1521 2.4227
P -3.5011 2.8283 6.0701
P 4.1332 7.1326 1.2247
P 1.7416 7.8087 4.8721
H 0.5705 7.1544 0.0888
H -1.8210 7.7869 3.7362
H -1.7458 0.7823 6.1351
H 0.6457 4.1981 2.4877
H 1.2020 5.4324 1.7085
H -1.1895 9.5089 5.3559
H -0.3798 1.1327 4.2804
H 2.0117 3.8477 0.6330
H -1.3796 6.1131 6.6618
H 1.0120 8.8282 3.0144
H 1.8217 0.4520 1.9389
H -0.5699 4.5284 5.5863
H -0.0136 5.7628 4.8071
H 2.3780 9.1785 1.1597
H 2.4532 2.1740 3.5586
H 0.0616 2.8065 7.2060
O -1.6281 6.6998 2.6478
O -4.0196 8.2415 6.2952
O -3.4071 1.3213 6.2919
O -1.0155 3.6592 2.6445
O 0.1910 6.6302 0.8869
O -2.2005 8.3111 4.5343
O -0.0959 1.3703 3.3528
O -2.4875 3.6101 7.0002
O -0.8717 5.3686 5.1461
O 1.5198 9.5727 1.4987
O -0.8877 0.3881 5.7961
O 1.5039 4.5923 2.1487
O 3.1196 6.3508 0.2945
O 0.7281 8.5905 3.9419
O 2.8327 1.6497 2.7605
O 0.4411 3.3307 6.4079
O 1.6477 6.3017 4.6503
O 4.0392 8.6396 1.0029
O 4.6518 1.7193 0.9996
O 2.2602 3.2611 4.6470
```

The 10 most intense peaks (2θ = 10–90°), in order of rising 2θ:
| d [Å] | I/Imax | h k l |
| --- | --- | --- |
| 5.885 | 735 | 0 1 1 |
| 4.744 | 669 | 1 1 -1 |
| 4.529 | 1000 | 1 0 0 |
| 3.425 | 482 | 0 1 2 |
| 3.197 | 985 | 1 2 -2 |
| 3.022 | 476 | 0 3 1 |
| 3.004 | 338 | 1 1 1 |
| 2.791 | 215 | 1 1 -3 |
| 2.264 | 227 | 2 0 0 |
| 2.083 | 282 | 2 0 -4 |

No. 2
Calculated powder diffractogram
Compound: Zn2P2H10O11
Radiation: copper Kα
Structure: a crystal structure in the Materials Project, relaxed with GGA-PBE
Peak positions follow from Bragg's law for the DFT cell and can differ from measured ones.

Atomic structure:
```
50
Lattice="7.6600 0.0000 0.0000 0.2840 7.8382 0.0000 0.2072 0.1038 9.5479" Properties=species:S:1:pos:R:3 pbc="T T T"
Zn 0.0000 0.0000 0.0000
Zn 7.9538 3.9869 7.1717
Zn 0.1973 3.9551 2.3762
Zn 4.0756 3.9710 4.7740
P 1.1736 2.2732 4.6505
P 2.1136 4.9255 9.4229
P 6.0376 3.0165 0.1250
P 6.9775 5.6689 4.8974
H 0.5209 6.9779 2.6229
H 0.3391 0.7360 2.5162
H 1.7596 0.9898 4.5798
H 2.0065 1.9918 8.9414
H 2.2270 5.7979 5.7513
H 2.7954 0.6652 8.5534
H 3.2307 4.6603 2.3408
H 3.3353 3.3717 7.2961
H 3.4508 5.3608 9.2841
H 3.6665 6.4381 6.1197
H 4.4846 1.5039 3.4282
H 4.7003 2.5813 0.2638
H 4.8159 4.5703 2.2518
H 4.9204 3.2817 7.2071
H 5.3557 7.2769 0.9945
H 5.9241 2.1441 3.7966
H 6.1447 5.9502 0.6065
H 6.3915 6.9522 4.9681
H 7.8120 7.2060 7.0318
H 7.6302 0.9641 6.9251
O 0.3840 5.6424 6.0477
O 0.5215 2.3480 6.0480
O 0.8473 7.7278 2.0560
O 1.1558 6.0604 9.1189
O 1.9238 3.7934 8.3571
O 1.8321 4.2593 1.3118
O 2.1261 1.0414 9.1774
O 2.2107 3.3481 4.3797
O 3.2002 5.7664 5.5748
O 4.2132 7.7949 7.2784
O 4.0782 3.0495 6.7256
O 4.0730 4.8925 2.8223
O 3.9380 0.1471 2.2695
O 4.9509 2.1756 3.9732
O 5.9404 4.5939 5.1682
O 6.0251 6.9007 0.3705
O 6.3191 3.6827 8.2361
O 6.2273 4.1486 1.1908
O 6.9953 1.8816 0.4290
O 7.3039 0.2142 7.4919
O 7.6296 5.5940 3.4999
O 7.7672 2.2996 3.5002
```

The 10 most intense peaks (2θ = 10–90°), in order of rising 2θ:
| d [Å] | I/Imax | h k l |
| --- | --- | --- |
| 7.838 | 1000 | 0 1 0 |
| 7.653 | 883 | 1 0 0 |
| 6.091 | 197 | 0 1 1 |
| 6.031 | 384 | 1 0 1 |
| 3.919 | 206 | 0 2 0 |
| 3.827 | 199 | 2 0 0 |
| 3.584 | 431 | 1 -1 2 |
| 3.302 | 208 | 2 1 1 |
| 3.251 | 264 | 2 1 -1 |
| 3.235 | 450 | -1 2 1 |

No. 3
Calculated powder diffractogram
Compound: ZnP2H8O10
Radiation: copper Kα
Structure: a crystal structure in the Materials Project, relaxed with GGA-PBE
Peak positions follow from Bragg's law for the DFT cell and can differ from measured ones.

Atomic structure:
```
42
Lattice="7.1919 0.0000 0.0000 -0.6737 7.1835 0.0000 -2.5015 -1.8817 8.0570" Properties=species:S:1:pos:R:3 pbc="T T T"
Zn 0.0000 0.0000 0.0000
Zn -1.5876 2.6509 4.0285
P 0.7189 0.4218 3.3706
P 0.3209 5.2548 5.0958
P 3.6959 0.0471 2.9611
P 3.2979 4.8801 4.6863
H -2.0156 1.1019 6.2892
H 0.1600 3.3335 2.0487
H -1.2591 3.7764 7.1115
H 1.6002 2.2483 0.1355
H -0.3477 -0.4932 6.9852
H 1.6740 6.1364 0.5323
H 2.1425 4.2169 1.3812
H 1.2992 2.2412 5.8440
H 2.7176 3.0606 2.2130
H 1.8743 1.0849 6.6758
H 2.3428 -0.8345 7.5246
H 4.3645 5.7951 1.0718
H 2.4166 3.0535 7.9215
H 5.2759 1.5254 0.9455
H 3.8568 1.9683 6.0082
H 6.0324 4.1999 1.7677
O -0.8072 3.3975 2.2267
O 0.3989 0.5037 1.9242
O -1.1894 -0.1667 7.4021
O -1.5815 3.9252 8.0324
O -0.2787 6.0892 3.8497
O -0.5436 4.0504 5.3043
O 0.0977 1.4118 4.3168
O 2.0315 3.2557 1.5381
O 1.2085 -1.0120 6.2749
O 2.3105 0.5629 3.6098
O 1.7063 4.7390 4.4471
O 2.8083 6.3138 1.7821
O 1.9853 2.0461 6.5189
O 3.9191 3.8900 3.7401
O 4.5604 1.2515 2.7527
O 4.2955 -0.7873 4.2073
O 5.5983 1.3767 0.0246
O 5.2062 5.4685 0.6549
O 3.6179 4.7982 6.1327
O 4.8240 1.9043 5.8303
```

The 10 most intense peaks (2θ = 10–90°), in order of rising 2θ:
| d [Å] | I/Imax | h k l |
| --- | --- | --- |
| 8.057 | 1000 | 0 0 1 |
| 6.995 | 525 | 0 1 0 |
| 6.798 | 366 | 1 0 0 |
| 6.001 | 602 | 0 1 -1 |
| 4.737 | 559 | 1 1 -1 |
| 4.294 | 401 | 1 -1 1 |
| 3.457 | 568 | 1 1 1 |
| 3.257 | 745 | -2 1 1 |
| 2.851 | 519 | 1 2 -2 |
| 2.655 | 461 | 2 -2 0 |